# Dy10Ti6O27
Computed PXRD pattern, Cu Ka. Input: the PBE geometry in the Materials Project.

Main lines, in order of rising 2θ (2θ = 5–70°):
(hkl), 2θ/deg, d/Å, Rel. int.
4 0 0, 29.5, 3.028, 53.2
2 2 -2, 29.9, 2.990, 100.0
0 0 4, 30.5, 2.936, 46.5
4 0 -4, 34.2, 2.621, 20.9
2 2 2, 34.9, 2.568, 43.7
6 2 -2, 49.1, 1.856, 28.0
0 4 0, 50.1, 1.820, 17.9
2 2 -6, 50.3, 1.813, 38.2

Structure:
Lattice parameters (Å, degrees): 12.950 7.278 12.553 90.00 110.71 90.00
Space group Cm (No. 8)
Unique sites:
1 Dy 0.000 0.000 0.000 [2 per cell]
2 Dy 0.004 0.000 0.507 [2 per cell]
3 Dy 0.009 0.246 0.772 [4 per cell]
4 Dy 0.229 0.000 0.269 [2 per cell]
5 Dy 0.233 0.500 0.735 [2 per cell]
6 Dy 0.241 0.500 0.228 [2 per cell]
7 Dy 0.465 0.000 0.513 [2 per cell]
8 Dy 0.488 0.254 0.250 [4 per cell]
9 Ti 0.232 0.000 0.746 [2 per cell]
10 Ti 0.242 0.263 0.499 [4 per cell]
11 Ti 0.247 0.244 0.009 [4 per cell]
12 Ti 0.485 0.000 0.997 [2 per cell]
13 O 0.039 0.279 0.438 [4 per cell]
14 O 0.043 0.500 0.161 [2 per cell]
15 O 0.048 0.500 0.692 [2 per cell]
16 O 0.054 0.000 0.188 [2 per cell]
17 O 0.065 0.299 0.965 [4 per cell]
18 O 0.071 0.000 0.707 [2 per cell]
19 O 0.181 0.000 0.004 [2 per cell]
20 O 0.194 0.288 0.339 [4 per cell]
21 O 0.203 0.254 0.843 [4 per cell]
22 O 0.221 0.500 0.551 [2 per cell]
23 O 0.222 0.182 0.640 [4 per cell]
24 O 0.251 0.500 0.046 [2 per cell]
25 O 0.273 0.000 0.462 [2 per cell]
26 O 0.301 0.209 0.186 [4 per cell]
27 O 0.390 0.000 0.829 [2 per cell]
28 O 0.395 0.232 0.026 [4 per cell]
29 O 0.396 0.286 0.561 [4 per cell]
30 O 0.416 0.500 0.813 [2 per cell]
31 O 0.420 0.500 0.316 [2 per cell]